(1)
Nd5AgTe5: calculated PXRD pattern (copper Kα), based on a cell relaxed with GGA-PBE.
Intensities are scaled so that the largest is 100.

Atomic structure:
Lattice parameters (Å, degrees): 7.7183 7.7183 8.9256 106.91 106.91 48.63
Sites, in units of the cell vectors:
Nd 0.0000 0.0000 0.0000
Nd 0.3344 0.3344 0.1675
Nd 0.3349 0.3349 0.6648
Nd 0.6651 0.6651 0.3352
Nd 0.6656 0.6656 0.8325
Ag 0.5000 0.5000 0.0000
Te 0.1639 0.1639 0.8278
Te 0.1673 0.1673 0.3361
Te 0.5000 0.5000 0.5000
Te 0.8327 0.8327 0.6639
Te 0.8361 0.8361 0.1722

Top 10 peaks for 2θ = 10–90°, low angle first:
Position (°2θ), intensity
28.08, 51
28.34, 100
40.32, 77
40.42, 19
40.60, 19
49.94, 21
50.09, 20
65.84, 18
66.28, 17
73.44, 13

---

(2)
Nd6AgTe8: calculated PXRD pattern (copper Kα), based on a cell relaxed with GGA-PBE.
Intensities are scaled so that the largest is 100.

Atomic structure:
Lattice parameters (Å, degrees): 8.3524 8.3524 8.3524 68.61 68.61 68.61
Sites, in units of the cell vectors:
Nd 0.0442 0.4238 0.8025
Nd 0.1975 0.9558 0.5762
Nd 0.4238 0.8025 0.0442
Nd 0.5762 0.1975 0.9558
Nd 0.8025 0.0442 0.4238
Nd 0.9558 0.5762 0.1975
Ag 0.5000 0.5000 0.5000
Te 0.1388 0.6840 0.4035
Te 0.1691 0.1691 0.1691
Te 0.3160 0.5965 0.8612
Te 0.4035 0.1388 0.6840
Te 0.5965 0.8612 0.3160
Te 0.6840 0.4035 0.1388
Te 0.8309 0.8309 0.8309
Te 0.8612 0.3160 0.5965

Top 10 peaks for 2θ = 10–90°, low angle first:
Position (°2θ), intensity
18.85, 22
23.54, 31
28.14, 32
29.36, 21
30.49, 42
32.96, 99
34.09, 100
34.68, 27
43.87, 21
48.15, 25

---

(3)
Nd4Tl3Ag: calculated PXRD pattern (copper Kα), based on a cell relaxed with GGA-PBE.
Intensities are scaled so that the largest is 100.

Atomic structure:
Lattice parameters (Å, degrees): 3.7270 3.7270 16.6611 90.00 90.00 90.00
Sites, in units of the cell vectors:
Nd 0.0000 0.0000 0.1148
Nd 0.0000 0.0000 0.3710
Nd 0.0000 0.0000 0.6290
Nd 0.0000 0.0000 0.8852
Tl 0.5000 0.5000 0.2409
Tl 0.5000 0.5000 0.5000
Tl 0.5000 0.5000 0.7591
Ag 0.5000 0.5000 0.0000

Top 10 peaks for 2θ = 10–90°, low angle first:
Position (°2θ), intensity
32.23, 100
34.02, 45
43.45, 10
48.87, 16
56.30, 19
59.76, 35
67.44, 11
72.67, 8
80.71, 7
81.70, 7

---

(4)
Nd12Tl5Ag2: calculated PXRD pattern (copper Kα), based on a cell relaxed with GGA-PBE.
Intensities are scaled so that the largest is 100.

Atomic structure:
Lattice parameters (Å, degrees): 9.5608 9.5608 9.3369 95.63 95.63 45.90
Sites, in units of the cell vectors:
Nd 0.0020 0.0020 0.1940
Nd 0.0937 0.5824 0.5735
Nd 0.0976 0.6009 0.9924
Nd 0.3991 0.9024 0.0076
Nd 0.4176 0.9063 0.4265
Nd 0.4611 0.4611 0.3126
Nd 0.5389 0.5389 0.6874
Nd 0.5824 0.0937 0.5735
Nd 0.6009 0.0976 0.9924
Nd 0.9024 0.3991 0.0076
Nd 0.9063 0.4176 0.4265
Nd 0.9980 0.9980 0.8060
Tl 0.2000 0.2000 0.7381
Tl 0.2724 0.2724 0.2493
Tl 0.5000 0.5000 0.0000
Tl 0.7276 0.7276 0.7507
Tl 0.8000 0.8000 0.2619
Ag 0.1785 0.8215 0.5000
Ag 0.8215 0.1785 0.5000

Top 10 peaks for 2θ = 10–90°, low angle first:
Position (°2θ), intensity
28.11, 33
29.52, 36
30.65, 45
30.76, 100
31.18, 26
31.52, 68
31.79, 30
32.34, 26
48.87, 24
57.40, 30

---

(5)
Nd4TlAg: calculated PXRD pattern (copper Kα), based on a cell relaxed with GGA-PBE.
Intensities are scaled so that the largest is 100.

Atomic structure:
Lattice parameters (Å, degrees): 3.7751 3.7751 13.0564 90.00 90.00 90.00
Sites, in units of the cell vectors:
Nd 0.0000 0.0000 0.1437
Nd 0.0000 0.0000 0.8563
Nd 0.5000 0.5000 0.3404
Nd 0.5000 0.5000 0.6596
Tl 0.0000 0.0000 0.5000
Ag 0.5000 0.5000 0.0000

Top 10 peaks for 2θ = 10–90°, low angle first:
Position (°2θ), intensity
31.37, 100
33.57, 45
41.50, 10
48.21, 16
54.40, 17
58.65, 34
65.46, 10
79.25, 7
80.45, 7
88.96, 6

---

(6)
NdTm5Ag6: calculated PXRD pattern (copper Kα), based on a cell relaxed with GGA-PBE.
Intensities are scaled so that the largest is 100.

Atomic structure:
Lattice parameters (Å, degrees): 5.1336 7.1741 8.1274 90.00 108.34 90.00
Sites, in units of the cell vectors:
Nd 0.0000 0.0000 0.0000
Tm 0.0000 0.5000 0.0000
Tm 0.3319 0.0000 0.6639
Tm 0.3346 0.5000 0.6692
Tm 0.6654 0.5000 0.3308
Tm 0.6681 0.0000 0.3361
Ag 0.1713 0.2554 0.3424
Ag 0.1713 0.7446 0.3424
Ag 0.5000 0.2626 0.0000
Ag 0.5000 0.7374 0.0000
Ag 0.8287 0.2554 0.6576
Ag 0.8287 0.7446 0.6576

Top 10 peaks for 2θ = 10–90°, low angle first:
Position (°2θ), intensity
34.92, 51
35.16, 100
50.22, 18
50.91, 8
62.76, 27
62.84, 9
63.23, 17
74.32, 11
84.37, 6
85.49, 8

---

(7)
Nd3Tm2Ag3: calculated PXRD pattern (copper Kα), based on a cell relaxed with GGA-PBE.
Intensities are scaled so that the largest is 100.

Atomic structure:
Lattice parameters (Å, degrees): 11.4769 11.4769 11.4769 161.54 152.72 33.14
Sites, in units of the cell vectors:
Nd 0.0000 0.0000 0.0000
Nd 0.3774 0.8774 0.5000
Nd 0.6226 0.1226 0.5000
Tm 0.2328 0.2328 0.0000
Tm 0.7672 0.7672 0.0000
Ag 0.1234 0.6234 0.5000
Ag 0.5000 0.5000 0.0000
Ag 0.8766 0.3766 0.5000

Top 10 peaks for 2θ = 10–90°, low angle first:
Position (°2θ), intensity
32.56, 23
33.10, 28
33.65, 100
47.11, 16
49.51, 9
58.79, 12
59.47, 19
60.84, 10
70.73, 9
78.83, 10

---

(8)
NdYAg4: calculated PXRD pattern (copper Kα), based on a cell relaxed with GGA-PBE.
Intensities are scaled so that the largest is 100.

Atomic structure:
Lattice parameters (Å, degrees): 5.4117 5.4117 7.6652 110.57 110.57 40.76
Sites, in units of the cell vectors:
Nd 0.0000 0.0000 0.0000
Y 0.0000 0.0000 0.5000
Ag 0.3283 0.3283 0.6577
Ag 0.3301 0.3301 0.1732
Ag 0.6699 0.6699 0.8268
Ag 0.6717 0.6717 0.3423

Top 10 peaks for 2θ = 10–90°, low angle first:
Position (°2θ), intensity
33.34, 100
36.98, 37
37.10, 37
37.30, 73
47.44, 18
48.29, 17
61.77, 16
61.94, 15
62.39, 31
69.32, 11

---

(9)
Nd3YAg3: calculated PXRD pattern (copper Kα), based on a cell relaxed with GGA-PBE.
Intensities are scaled so that the largest is 100.

Atomic structure:
Lattice parameters (Å, degrees): 7.4625 7.4625 7.1856 90.91 90.91 94.42
Sites, in units of the cell vectors:
Nd 0.1786 0.8214 0.0000
Nd 0.2692 0.7308 0.5000
Nd 0.3615 0.3615 0.1301
Nd 0.6385 0.6385 0.8699
Nd 0.7308 0.2692 0.5000
Nd 0.8214 0.1786 0.0000
Y 0.2541 0.2541 0.6367
Y 0.7459 0.7459 0.3633
Ag 0.0053 0.5133 0.7687
Ag 0.0672 0.0672 0.3212
Ag 0.4867 0.9947 0.2313
Ag 0.5133 0.0053 0.7687
Ag 0.9328 0.9328 0.6788
Ag 0.9947 0.4867 0.2313

Top 10 peaks for 2θ = 10–90°, low angle first:
Position (°2θ), intensity
28.72, 23
28.90, 36
30.11, 48
30.85, 64
32.71, 53
34.41, 100
38.61, 19
39.17, 37
45.57, 22
53.71, 36

---

(10)
NdZn2Ag3: calculated PXRD pattern (copper Kα), based on a cell relaxed with GGA-PBE.
Intensities are scaled so that the largest is 100.

Atomic structure:
Lattice parameters (Å, degrees): 8.4230 8.4230 7.8716 116.86 116.86 29.68
Sites, in units of the cell vectors:
Nd 0.1456 0.1456 0.0629
Nd 0.8544 0.8544 0.9371
Zn 0.2035 0.2035 0.7191
Zn 0.4819 0.4819 0.8332
Zn 0.5181 0.5181 0.1668
Zn 0.7965 0.7965 0.2809
Ag 0.0436 0.0436 0.3779
Ag 0.3134 0.3134 0.5492
Ag 0.3993 0.3993 0.3043
Ag 0.6007 0.6007 0.6957
Ag 0.6866 0.6866 0.4508
Ag 0.9564 0.9564 0.6221

Top 10 peaks for 2θ = 10–90°, low angle first:
Position (°2θ), intensity
31.31, 19
34.24, 100
34.64, 21
36.34, 72
41.88, 39
42.42, 13
45.80, 24
55.44, 11
63.79, 17
71.59, 11

---

(11)
Nd5ZnAg4: calculated PXRD pattern (copper Kα), based on a cell relaxed with GGA-PBE.
Intensities are scaled so that the largest is 100.

Atomic structure:
Lattice parameters (Å, degrees): 3.7317 3.7317 18.8049 90.00 90.00 90.00
Sites, in units of the cell vectors:
Nd 0.0000 0.0000 0.0000
Nd 0.0000 0.0000 0.2025
Nd 0.0000 0.0000 0.4046
Nd 0.0000 0.0000 0.5954
Nd 0.0000 0.0000 0.7975
Zn 0.5000 0.5000 0.5000
Ag 0.5000 0.5000 0.1004
Ag 0.5000 0.5000 0.3034
Ag 0.5000 0.5000 0.6966
Ag 0.5000 0.5000 0.8996

Top 10 peaks for 2θ = 10–90°, low angle first:
Position (°2θ), intensity
33.84, 100
33.97, 50
48.40, 9
48.81, 18
60.45, 18
60.71, 36
71.19, 11
71.51, 5
80.89, 7
81.54, 15

---

(12)
NdZn2Ag2: calculated PXRD pattern (copper Kα), based on a cell relaxed with GGA-PBE.
Intensities are scaled so that the largest is 100.

Atomic structure:
Lattice parameters (Å, degrees): 5.3651 5.5038 8.8051 81.59 72.36 60.98
Sites, in units of the cell vectors:
Nd 0.1262 0.2501 0.2482
Nd 0.8738 0.7499 0.7518
Zn 0.2516 0.7492 0.9947
Zn 0.4987 0.7492 0.5057
Zn 0.5013 0.2508 0.4943
Zn 0.7484 0.2508 0.0053
Ag 0.2000 0.1006 0.7501
Ag 0.4508 0.6013 0.2496
Ag 0.5492 0.3987 0.7504
Ag 0.8000 0.8994 0.2499

Top 10 peaks for 2θ = 10–90°, low angle first:
Position (°2θ), intensity
21.18, 48
24.78, 24
32.96, 42
35.12, 72
36.36, 100
42.46, 68
43.12, 38
46.93, 28
58.58, 15
84.04, 15

---

(13)
Nd2ZnAg5: calculated PXRD pattern (copper Kα), based on a cell relaxed with GGA-PBE.
Intensities are scaled so that the largest is 100.

Atomic structure:
Lattice parameters (Å, degrees): 8.6996 8.6996 9.8199 90.00 90.00 150.76
Sites, in units of the cell vectors:
Nd 0.0000 0.0000 0.0000
Nd 0.0000 0.0000 0.5000
Nd 0.1935 0.8065 0.7500
Nd 0.8065 0.1935 0.2500
Zn 0.4522 0.5478 0.2500
Zn 0.5478 0.4522 0.7500
Ag 0.1939 0.8061 0.1069
Ag 0.1939 0.8061 0.3931
Ag 0.3616 0.6384 0.0337
Ag 0.3616 0.6384 0.4663
Ag 0.3947 0.6053 0.7500
Ag 0.6053 0.3947 0.2500
Ag 0.6384 0.3616 0.5337
Ag 0.6384 0.3616 0.9663
Ag 0.8061 0.1939 0.6069
Ag 0.8061 0.1939 0.8931

Top 10 peaks for 2θ = 10–90°, low angle first:
Position (°2θ), intensity
31.64, 79
31.89, 15
33.54, 100
34.59, 87
34.72, 16
41.11, 50
42.44, 38
43.73, 16
45.30, 19
60.56, 25